Record 1
Theoretical X-ray diffraction stick pattern of Ba2Y2Fe for copper Kα, from DFT lattice parameters and positions (PBE).
Intensities are scaled so that the largest is 100.

a b c (Å): 4.403 4.403 21.432
angles (deg): 90.00 90.00 90.00
Space group I4/mmm (No. 139)
Symmetry-distinct sites (fractional):
Ba  0.000  0.000  0.087 x4
Y  0.000  0.500  0.250 x4
Fe  0.000  0.000  0.500 x2

Main lines, by angle (2θ = 15–90°):
- 20.59°, I 52, hkl 1 0 1
- 24.93°, I 45, hkl 0 0 6
- 29.07°, I 75, hkl 1 0 5
- 29.89°, I 100, hkl 1 1 2
- 33.28°, I 44, hkl 1 1 4
- 35.72°, I 32, hkl 1 0 7
- 41.00°, I 41, hkl 2 0 0
- 48.58°, I 29, hkl 2 0 6
- 51.04°, I 30, hkl 2 1 5
- 51.79°, I 29, hkl 1 1 10

=====

Record 2
Theoretical X-ray diffraction stick pattern of BaGa7 for copper Kα, from DFT lattice parameters and positions (PBE).
Intensities are scaled so that the largest is 100.

a b c (Å): 10.945 7.256 4.920
angles (deg): 90.00 112.71 90.00
Space group C2/m (No. 12)
Symmetry-distinct sites (fractional):
Ba  0.000  0.000  0.000 x2
Ga  0.000  0.500  0.000 x2
Ga  0.134  0.319  0.645 x8
Ga  0.245  0.500  0.272 x4

Main lines, by angle (2θ = 15–90°):
- 27.37°, I 35, hkl 1 1 1
- 28.97°, I 35, hkl 3 1 -1
- 31.18°, I 84, hkl 2 0 1
- 31.57°, I 67, hkl 0 2 1
- 32.28°, I 95, hkl 2 2 -1
- 33.30°, I 51, hkl 4 0 -1
- 36.62°, I 100, hkl 2 0 -2
- 41.63°, I 47, hkl 1 3 -1
- 43.69°, I 86, hkl 4 2 0
- 56.49°, I 41, hkl 2 2 2

=====

Record 3
Theoretical X-ray diffraction stick pattern of Ba4Ga3 for copper Kα, from DFT lattice parameters and positions (PBE).
Intensities are scaled so that the largest is 100.

a b c (Å): 13.3696 13.3696 5.2462
angles (deg): 90.00 90.00 120.00
Space group P-3 (No. 147)
Symmetry-distinct sites (fractional):
Ba  0.0290  0.2489  0.2492 x6
Ba  0.1308  0.6103  0.2515 x6
Ga  0.0000  0.0000  0.0000 x1
Ga  0.1788  0.4460  0.7512 x6
Ga  0.3333  0.6667  0.7495 x2

Main lines, by angle (2θ = 15–90°):
- 26.52°, I 100, hkl 3 -1 1
- 27.78°, I 30, hkl 1 3 0
- 28.72°, I 51, hkl 0 3 1
- 34.18°, I 25, hkl 0 0 2
- 35.53°, I 21, hkl 4 1 0
- 44.60°, I 12, hkl 1 3 2
- 50.13°, I 11, hkl 5 -4 2
- 52.34°, I 27, hkl 7 -2 1
- 56.69°, I 12, hkl 1 2 3
- 71.98°, I 10, hkl 0 0 4

=====

Record 4
Theoretical X-ray diffraction stick pattern of Ba5Ga2 for copper Kα, from DFT lattice parameters and positions (PBE).
Intensities are scaled so that the largest is 100.

a b c (Å): 8.475 17.697 8.042
angles (deg): 90.00 90.00 90.00
Space group Ibam (No. 72)
Symmetry-distinct sites (fractional):
Ba  0.000  0.000  0.250 x4
Ba  0.000  0.228  0.250 x8
Ba  0.138  0.416  0.000 x8
Ga  0.249  0.118  0.000 x8

Main lines, by angle (2θ = 15–90°):
- 24.30°, I 45, hkl 0 2 2
- 25.02°, I 78, hkl 1 1 2
- 27.31°, I 64, hkl 1 5 0
- 28.20°, I 40, hkl 2 3 1
- 29.18°, I 73, hkl 2 4 0
- 30.03°, I 100, hkl 0 4 2
- 30.65°, I 81, hkl 2 0 2
- 32.08°, I 27, hkl 3 1 0
- 45.09°, I 26, hkl 0 0 4
- 46.94°, I 40, hkl 3 5 2

=====

Record 5
Theoretical X-ray diffraction stick pattern of BaGa12 for copper Kα, from DFT lattice parameters and positions (PBE).
Intensities are scaled so that the largest is 100.

a b c (Å): 7.169 7.169 7.169
angles (deg): 90.00 90.00 90.00
Space group Pm-3m (No. 221)
Symmetry-distinct sites (fractional):
Ba  0.000  0.000  0.000 x1
Ga  0.000  0.252  0.500 x12

Main lines, by angle (2θ = 15–90°):
- 17.50°, I 29, hkl 1 1 0
- 24.84°, I 42, hkl 2 0 0
- 30.55°, I 100, hkl 2 1 1
- 43.74°, I 38, hkl 2 2 2
- 47.45°, I 58, hkl 3 2 1
- 50.95°, I 33, hkl 4 0 0
- 57.49°, I 16, hkl 4 2 0
- 72.17°, I 16, hkl 5 2 1
- 74.94°, I 20, hkl 4 4 0
- 83.04°, I 17, hkl 5 3 2

=====

Record 6
Theoretical X-ray diffraction stick pattern of Ba2GdGaSe5 for copper Kα, from DFT lattice parameters and positions (PBE).
Intensities are scaled so that the largest is 100.

a b c (Å): 7.427 8.830 9.588
angles (deg): 103.60 103.06 107.50
Space group P-1 (No. 2)
Symmetry-distinct sites (fractional):
Ba  0.133  0.478  0.291 x2
Ba  0.156  0.988  0.292 x2
Gd  0.498  0.231  0.998 x2
Ga  0.309  0.373  0.688 x2
Se  0.007  0.758  0.506 x2
Se  0.205  0.910  0.945 x2
Se  0.212  0.408  0.924 x2
Se  0.488  0.653  0.689 x2
Se  0.491  0.185  0.684 x2

Main lines, by angle (2θ = 15–90°):
- 27.64°, I 69, hkl 2 -2 0
- 27.75°, I 71, hkl 1 2 -1
- 29.00°, I 100, hkl 1 0 -3
- 29.88°, I 66, hkl 2 -2 1
- 30.08°, I 66, hkl 1 2 0
- 30.37°, I 55, hkl 0 0 3
- 33.64°, I 40, hkl 1 2 -3
- 34.69°, I 38, hkl 1 -2 3
- 40.61°, I 47, hkl -3 2 2
- 40.89°, I 86, hkl 1 -4 1

=====

Record 7
Theoretical X-ray diffraction stick pattern of Ba3GaGe3 for copper Kα, from DFT lattice parameters and positions (PBE).
Intensities are scaled so that the largest is 100.

a b c (Å): 4.356 5.083 19.923
angles (deg): 90.00 90.00 90.00
Space group Imm2 (No. 44)
Symmetry-distinct sites (fractional):
Ba  0.000  0.000  0.000 x2
Ba  0.000  0.000  0.365 x2
Ba  0.000  0.500  0.686 x2
Ga  0.000  0.500  0.118 x2
Ge  0.000  0.000  0.549 x2
Ge  0.000  0.000  0.820 x2
Ge  0.000  0.500  0.246 x2

Main lines, by angle (2θ = 15–90°):
- 24.44°, I 10, hkl 1 0 3
- 28.45°, I 100, hkl 0 1 5
- 32.50°, I 22, hkl 1 1 4
- 35.32°, I 23, hkl 0 2 0
- 37.76°, I 16, hkl 1 0 7
- 41.46°, I 14, hkl 2 0 0
- 51.06°, I 15, hkl 2 1 5
- 52.66°, I 12, hkl 1 2 7
- 55.57°, I 12, hkl 2 2 0
- 59.27°, I 21, hkl 0 3 5

=====

Record 8
Theoretical X-ray diffraction stick pattern of Ba2GaGe2 for copper Kα, from DFT lattice parameters and positions (PBE).
Intensities are scaled so that the largest is 100.

a b c (Å): 4.876 4.189 15.214
angles (deg): 90.00 90.00 90.00
Space group Amm2 (No. 38)
Symmetry-distinct sites (fractional):
Ba  0.000  0.000  0.000 x2
Ba  0.000  0.000  0.237 x2
Ga  0.500  0.000  0.421 x2
Ge  0.500  0.000  0.597 x2
Ge  0.500  0.000  0.829 x2

Main lines, by angle (2θ = 15–90°):
- 28.70°, I 100, hkl 1 1 1
- 29.79°, I 70, hkl 1 0 4
- 33.27°, I 31, hkl 1 1 3
- 36.50°, I 49, hkl 0 1 5
- 36.87°, I 31, hkl 2 0 0
- 43.19°, I 20, hkl 0 2 0
- 52.85°, I 33, hkl 2 1 5
- 53.35°, I 27, hkl 1 2 4
- 58.05°, I 17, hkl 2 2 0
- 62.20°, I 13, hkl 1 1 9